UFeSe3: simulated powder diffraction line list (CuKα), based on a cell relaxed with GGA-PBE.
Kinematic intensities with the Lorentz-polarization factor, no thermal factor.

Most intense lines, 10 to 80 degrees two-theta, sorted by position:
| d_spacing | 2theta | I/Imax | h k l |
| --- | --- | --- | --- |
| 5.998 | 14.77 | 38 | 0 2 0 |
| 3.647 | 24.41 | 49 | 0 2 2 |
| 3.422 | 26.04 | 36 | 1 1 1 |
| 2.663 | 33.65 | 100 | 1 3 1 |
| 2.380 | 37.80 | 24 | 1 3 2 |
| 2.356 | 38.20 | 57 | 1 1 3 |
| 2.060 | 43.96 | 26 | 1 3 3 |
| 1.938 | 46.89 | 25 | 2 0 0 |
| 1.833 | 49.73 | 28 | 0 6 2 |
| 1.534 | 60.36 | 35 | 1 3 5 |

Structural model:
Cell lengths 3.8753, 11.9968, 9.1871 Å; angles 90.00, 90.00, 90.00 degrees
Space group Cmcm (No. 63)
Unique sites:
U 0.0000 0.2436 0.2500 [4 per cell]
Fe 0.0000 0.0000 0.0000 [4 per cell]
Se 0.0000 0.0813 0.7500 [4 per cell]
Se 0.0000 0.3586 0.5568 [8 per cell]

U2FeSe5: simulated powder diffraction line list (CuKα), based on a cell relaxed with GGA-PBE.
Kinematic intensities with the Lorentz-polarization factor, no thermal factor.

Most intense lines, 10 to 80 degrees two-theta, sorted by position:
| d_spacing | 2theta | I/Imax | h k l |
| --- | --- | --- | --- |
| 4.510 | 19.68 | 100 | 1 1 1 |
| 3.669 | 24.26 | 89 | 3 1 -1 |
| 2.824 | 31.68 | 30 | 2 2 -1 |
| 2.721 | 32.92 | 38 | 2 2 1 |
| 2.471 | 36.35 | 97 | 5 1 1 |
| 2.292 | 39.31 | 77 | 1 1 -3 |
| 2.255 | 39.98 | 32 | 2 2 2 |
| 2.218 | 40.68 | 41 | 6 0 -2 |
| 1.954 | 46.48 | 36 | 3 3 -1 |
| 1.717 | 53.37 | 29 | 5 1 3 |

Structural model:
Cell lengths 15.2745, 6.5282, 7.3454 Å; angles 90.00, 97.76, 90.00 degrees
Space group C2/c (No. 15)
Unique sites:
U 0.1080 0.2120 0.0899 [8 per cell]
Fe 0.2500 0.2500 0.5000 [4 per cell]
Se 0.0000 0.0896 0.7500 [4 per cell]
Se 0.0884 0.3877 0.4280 [8 per cell]
Se 0.2189 0.0889 0.8101 [8 per cell]

Zn4FeSe5: simulated powder diffraction line list (CuKα), based on a cell relaxed with GGA-PBE.
Kinematic intensities with the Lorentz-polarization factor, no thermal factor.

Most intense lines, 10 to 80 degrees two-theta, sorted by position:
| d_spacing | 2theta | I/Imax | h k l |
| --- | --- | --- | --- |
| 3.306 | 26.97 | 100 | 0 1 5 |
| 2.863 | 31.24 | 1 | 1 0 10 |
| 2.025 | 44.76 | 73 | 1 1 0 |
| 1.727 | 53.04 | 44 | 1 0 25 |
| 1.432 | 65.16 | 11 | 2 0 20 |
| 1.314 | 71.86 | 17 | 0 2 25 |

Structural model:
Cell lengths 4.0480, 4.0480, 49.6278 Å; angles 90.00, 90.00, 120.00 degrees
Space group R3m (No. 160, hexagonal axes)
Unique sites:
Zn 0.0000 0.0000 0.0000 [3 per cell]
Zn 0.0000 0.0000 0.2000 [3 per cell]
Zn 0.0000 0.0000 0.4000 [3 per cell]
Zn 0.0000 0.0000 0.6000 [3 per cell]
Fe 0.0000 0.0000 0.7999 [3 per cell]
Se 0.0000 0.0000 0.1499 [3 per cell]
Se 0.0000 0.0000 0.3500 [3 per cell]
Se 0.0000 0.0000 0.5501 [3 per cell]
Se 0.0000 0.0000 0.7505 [3 per cell]
Se 0.0000 0.0000 0.9500 [3 per cell]

Fe2Si5: simulated powder diffraction line list (CuKα), based on a cell relaxed with GGA-PBE.
Kinematic intensities with the Lorentz-polarization factor, no thermal factor.

Most intense lines, 10 to 80 degrees two-theta, sorted by position:
| d_spacing | 2theta | I/Imax | h k l |
| --- | --- | --- | --- |
| 8.628 | 10.25 | 16 | 0 0 3 |
| 6.471 | 13.68 | 7 | 0 0 4 |
| 5.177 | 17.13 | 61 | 0 0 5 |
| 2.383 | 37.74 | 65 | 1 0 5 |
| 1.899 | 47.91 | 56 | 1 1 0 |
| 1.863 | 48.87 | 100 | 1 0 10 |
| 1.782 | 51.25 | 13 | 1 1 5 |
| 1.726 | 53.07 | 9 | 0 0 15 |
| 1.342 | 70.09 | 17 | 2 0 0 |
| 1.277 | 74.27 | 13 | 1 1 15 |

Structural model:
Cell lengths 2.6850, 2.6850, 25.8846 Å; angles 90.00, 90.00, 90.00 degrees
Space group P4/mmm (No. 123)
Unique sites:
Fe 0.0000 0.0000 0.0998 [2 per cell]
Fe 0.0000 0.0000 0.2982 [2 per cell]
Si 0.5000 0.5000 0.0453 [2 per cell]
Si 0.5000 0.5000 0.1546 [2 per cell]
Si 0.5000 0.5000 0.2448 [2 per cell]
Si 0.5000 0.5000 0.3544 [2 per cell]
Si 0.5000 0.5000 0.4464 [2 per cell]

FeSi2: simulated powder diffraction line list (CuKα), based on a cell relaxed with GGA-PBE.
Kinematic intensities with the Lorentz-polarization factor, no thermal factor.

Most intense lines, 10 to 80 degrees two-theta, sorted by position:
| d_spacing | 2theta | I/Imax | h k l |
| --- | --- | --- | --- |
| 3.065 | 29.14 | 85 | 2 0 2 |
| 3.054 | 29.24 | 85 | 2 2 0 |
| 2.396 | 37.55 | 33 | 3 1 2 |
| 1.976 | 45.92 | 22 | 3 1 3 |
| 1.970 | 46.07 | 23 | 3 3 1 |
| 1.943 | 46.75 | 22 | 0 4 0 |
| 1.886 | 48.26 | 28 | 0 4 1 |
| 1.861 | 48.95 | 58 | 1 1 4 |
| 1.839 | 49.57 | 100 | 4 2 2 |
| 1.806 | 50.52 | 38 | 1 3 3 |

Structural model:
Cell lengths 9.8765, 7.7729, 7.8178 Å; angles 90.00, 90.00, 90.00 degrees
Space group Cmce (No. 64)
Unique sites:
Fe 0.0000 0.1925 0.1877 [8 per cell]
Fe 0.2165 0.0000 0.0000 [8 per cell]
Si 0.1265 0.0448 0.7268 [16 per cell]
Si 0.1281 0.2263 0.4502 [16 per cell]

FeSi2: simulated powder diffraction line list (CuKα), based on a cell relaxed with GGA-PBE.
Kinematic intensities with the Lorentz-polarization factor, no thermal factor.

Most intense lines, 10 to 80 degrees two-theta, sorted by position:
| d_spacing | 2theta | I/Imax | h k l |
| --- | --- | --- | --- |
| 5.138 | 17.26 | 83 | 0 0 1 |
| 2.393 | 37.58 | 77 | 1 0 1 |
| 1.913 | 47.54 | 57 | 1 1 0 |
| 1.863 | 48.90 | 100 | 1 0 2 |
| 1.792 | 50.95 | 18 | 1 1 1 |
| 1.713 | 53.51 | 10 | 0 0 3 |
| 1.352 | 69.50 | 17 | 2 0 0 |
| 1.308 | 72.23 | 5 | 2 0 1 |
| 1.284 | 73.77 | 6 | 0 0 4 |
| 1.276 | 74.35 | 14 | 1 1 3 |

Structural model:
Cell lengths 2.7049, 2.7049, 5.1378 Å; angles 90.00, 90.00, 90.00 degrees
Space group P4/mmm (No. 123)
Unique sites:
Fe 0.0000 0.0000 0.0000 [1 per cell]
Si 0.5000 0.5000 0.2722 [2 per cell]